1.
For PrErTh2Se4, the GGA-PBE geometry in Alexandria gives the calculated XRD peak list in this record (copper Kα).
Intensities are scaled so that the largest is 100.

Peak list (12 most intense, 2θ = 10–90°, by angle)
25.41 deg, d 3.505, I 9
26.28 deg, d 3.391, I 15
26.50 deg, d 3.363, I 8
30.26 deg, d 2.954, I 100
42.63 deg, d 2.121, I 26
42.88 deg, d 2.109, I 13
43.70 deg, d 2.071, I 12
44.02 deg, d 2.057, I 24
52.19 deg, d 1.753, I 9
54.09 deg, d 1.695, I 13
62.89 deg, d 1.478, I 8
72.43 deg, d 1.305, I 11

Atomic structure:
```
8
Lattice="7.1096 0.0000 0.0000 0.0000 4.1426 0.0000 -2.4015 0.0000 7.0099" Properties=species:S:1:pos:R:3 pbc="T T T"
Pr 0.0000 0.0000 0.0000
Er 3.5548 2.0713 0.0000
Th -1.2008 2.0713 3.5049
Th 2.3540 0.0000 3.5049
Se 1.2447 2.0713 1.7091
Se 0.0400 0.0000 5.3447
Se 4.6681 0.0000 1.6652
Se 3.4634 2.0713 5.3008
```

***

2.
For PrErSi3, the GGA-PBE geometry in Alexandria gives the calculated XRD peak list in this record (copper Kα).
Intensities are scaled so that the largest is 100.

Peak list (12 most intense, 2θ = 10–90°, by angle)
21.13 deg, d 4.205, I 23
26.74 deg, d 3.334, I 60
28.97 deg, d 3.082, I 23
31.01 deg, d 2.884, I 14
32.70 deg, d 2.738, I 100
32.98 deg, d 2.716, I 60
42.36 deg, d 2.134, I 23
43.22 deg, d 2.093, I 18
45.78 deg, d 1.982, I 19
50.80 deg, d 1.797, I 21
51.51 deg, d 1.774, I 21
57.57 deg, d 1.601, I 24

Atomic structure:
```
10
Lattice="2.1338 -12.3266 0.0000 2.1338 12.3266 0.0000 0.0000 0.0000 3.9637" Properties=species:S:1:pos:R:3 pbc="T T T"
Pr 2.1338 10.5721 2.9728
Pr 2.1338 -10.5721 0.9909
Er 2.1338 7.3185 0.9909
Er 2.1338 -7.3185 2.9728
Si 2.1338 4.4346 0.9909
Si 2.1338 2.9985 2.9728
Si 2.1338 0.6283 2.9728
Si 2.1338 -0.6283 0.9909
Si 2.1338 -2.9985 0.9909
Si 2.1338 -4.4346 2.9728
```

***

3.
For Pr5Sm2Er3, the GGA-PBE geometry in Alexandria gives the calculated XRD peak list in this record (copper Kα).
Intensities are scaled so that the largest is 100.

Peak list (12 most intense, 2θ = 10–90°, by angle)
29.19 deg, d 3.059, I 93
30.85 deg, d 2.899, I 100
31.83 deg, d 2.811, I 22
32.97 deg, d 2.717, I 46
33.77 deg, d 2.654, I 18
35.69 deg, d 2.516, I 25
46.48 deg, d 1.954, I 15
48.60 deg, d 1.873, I 32
57.55 deg, d 1.601, I 17
59.98 deg, d 1.542, I 33
62.28 deg, d 1.491, I 26
68.65 deg, d 1.367, I 17

Atomic structure:
```
20
Lattice="5.4343 -7.4869 0.0000 5.4343 7.4869 0.0000 -5.4175 0.0000 8.5149" Properties=species:S:1:pos:R:3 pbc="T T T"
Pr 1.3711 7.1479 6.3862
Pr -1.3568 1.8101 6.3489
Pr 1.3711 4.0274 6.3862
Pr 4.0799 3.4220 2.1287
Pr 1.3519 -1.8101 2.0914
Pr 4.0991 1.8101 6.4235
Pr 1.3711 -3.4220 6.3862
Pr 4.0799 -4.0274 2.1287
Pr 6.8078 -1.8101 2.1661
Pr 4.0799 -7.1479 2.1287
Sm 1.3775 1.8155 3.7640
Sm -1.3313 -1.8155 8.0214
Sm 6.7823 1.8155 0.4935
Sm 4.0735 -1.8155 4.7510
Er 1.3947 1.8543 0.4804
Er -1.3140 -1.8543 4.7379
Er 4.0799 0.3179 2.1287
Er 1.3711 -0.3179 6.3862
Er 6.7651 1.8543 3.7770
Er 4.0563 -1.8543 8.0345
```